Starting from a cell relaxed with GGA-PBE, the X-ray powder pattern of K3H5Pt was computed for Cu Kα.

Most intense lines, 2θ = 10–90°, in order of falling intensity:
two_theta	d/Å	Rel. int.	hkl
28.89	3.090	100	2 0 1
17.05	5.200	57	1 1 0
23.15	3.842	39	1 1 1
41.96	2.153	32	3 1 1
24.20	3.677	30	2 0 0
31.39	2.850	30	0 0 2
15.55	5.700	28	0 0 1
34.49	2.600	28	2 2 0
47.32	1.921	23	2 2 2
38.04	2.366	22	2 2 1

Atomic structure:
```
K3H5Pt
1.0
7.354 0.000 0.000
0.000 7.354 0.000
0.000 0.000 5.700
K H Pt
6 10 2
direct
0.000 0.000 0.000
0.184 0.316 0.500
0.316 0.816 0.500
0.500 0.500 0.000
0.684 0.184 0.500
0.816 0.684 0.500
0.000 0.000 0.500
0.114 0.614 0.203
0.114 0.614 0.797
0.386 0.114 0.203
0.386 0.114 0.797
0.500 0.500 0.500
0.614 0.886 0.203
0.614 0.886 0.797
0.886 0.386 0.203
0.886 0.386 0.797
0.000 0.500 0.000
0.500 0.000 0.000
```